Entry 1:
Structure and simulated X-ray diffraction stick pattern of Na2TbO3 (a GGA-PBE-relaxed structure; copper Kα).

Cell and atoms:
Unit cell a=5.906 b=5.906 c=5.917 alpha=100.73 beta=100.73 gamma=118.56
Sites, in units of the cell vectors:
Na1 0.080 0.920 0.750
Na2 0.246 0.754 0.250
Na3 0.754 0.246 0.750
Na4 0.920 0.080 0.250
Tb1 0.405 0.595 0.750
Tb2 0.595 0.405 0.250
O1 0.000 0.500 0.500
O2 0.215 0.355 0.992
O3 0.355 0.215 0.492
O4 0.500 0.000 0.000
O5 0.645 0.785 0.508
O6 0.785 0.645 0.008

Main lines, in order of rising 2θ (2θ = 10–80°):
2θ 18.04, rel. 100; 2θ 20.01, rel. 37; 2θ 23.83, rel. 64; 2θ 31.82, rel. 42; 2θ 32.06, rel. 44; 2θ 32.50, rel. 22; 2θ 36.41, rel. 41; 2θ 37.68, rel. 75; 2θ 52.98, rel. 32; 2θ 53.83, rel. 25


Entry 2:
Structure and simulated X-ray diffraction stick pattern of Na2TbO3 (a GGA-PBE-relaxed structure; copper Kα).

Cell and atoms:
Unit cell a=5.990 b=5.990 c=11.347 alpha=95.12 beta=95.12 gamma=120.12
Sites, in units of the cell vectors:
Na1 0.000 0.500 0.500
Na2 0.086 0.914 0.750
Na3 0.159 0.318 0.000
Na4 0.318 0.159 0.500
Na5 0.500 0.000 0.000
Na6 0.682 0.841 0.500
Na7 0.841 0.682 0.000
Na8 0.914 0.086 0.250
Tb1 0.248 0.752 0.250
Tb2 0.418 0.582 0.750
Tb3 0.582 0.418 0.250
Tb4 0.752 0.248 0.750
O1 0.046 0.240 0.636
O2 0.123 0.590 0.861
O3 0.240 0.046 0.136
O4 0.316 0.485 0.361
O5 0.410 0.877 0.639
O6 0.485 0.316 0.861
O7 0.515 0.684 0.139
O8 0.590 0.123 0.361
O9 0.684 0.515 0.639
O10 0.760 0.954 0.864
O11 0.877 0.410 0.139
O12 0.954 0.760 0.364

Main lines, in order of rising 2θ (2θ = 10–80°):
2θ 15.88, rel. 100; 2θ 17.33, rel. 29; 2θ 18.85, rel. 26; 2θ 30.34, rel. 53; 2θ 31.75, rel. 70; 2θ 32.07, rel. 23; 2θ 36.87, rel. 80; 2θ 37.01, rel. 40; 2θ 53.03, rel. 26; 2θ 53.41, rel. 38


Entry 3:
Structure and simulated X-ray diffraction stick pattern of NaTbTi4O12 (a GGA-PBE-relaxed structure; copper Kα).

Cell and atoms:
Unit cell a=5.430 b=5.430 c=7.818 alpha=90.00 beta=90.00 gamma=90.00
Sites, in units of the cell vectors:
Na1 0.000 0.000 0.000
Tb1 0.500 0.500 0.500
Ti1 0.000 0.500 0.240
Ti2 0.000 0.500 0.760
Ti3 0.500 0.000 0.240
Ti4 0.500 0.000 0.760
O1 0.000 0.500 0.000
O2 0.000 0.500 0.500
O3 0.259 0.259 0.273
O4 0.259 0.259 0.727
O5 0.259 0.741 0.273
O6 0.259 0.741 0.727
O7 0.500 0.000 0.000
O8 0.500 0.000 0.500
O9 0.741 0.259 0.273
O10 0.741 0.259 0.727
O11 0.741 0.741 0.273
O12 0.741 0.741 0.727

Main lines, in order of rising 2θ (2θ = 10–80°):
2θ 11.32, rel. 51; 2θ 16.33, rel. 46; 2θ 19.91, rel. 100; 2θ 25.85, rel. 33; 2θ 32.69, rel. 79; 2θ 32.99, rel. 39; 2θ 38.83, rel. 35; 2θ 47.36, rel. 45; 2θ 58.73, rel. 30; 2θ 68.51, rel. 23


Entry 4:
Structure and simulated X-ray diffraction stick pattern of NaTcO3 (a GGA-PBE-relaxed structure; copper Kα).

Cell and atoms:
Unit cell a=3.876 b=3.876 c=3.876 alpha=90.00 beta=90.00 gamma=90.00
Sites, in units of the cell vectors:
Na1 0.000 0.000 0.000
Tc1 0.500 0.500 0.500
O1 0.000 0.500 0.500
O2 0.500 0.000 0.500
O3 0.500 0.500 0.000

Main lines, in order of rising 2θ (2θ = 10–80°):
2θ 22.94, rel. 95; 2θ 32.67, rel. 100; 2θ 40.30, rel. 3; 2θ 46.88, rel. 44; 2θ 52.81, rel. 35; 2θ 58.31, rel. 38; 2θ 68.47, rel. 25; 2θ 73.26, rel. 16; 2θ 77.95, rel. 16


Entry 5:
Structure and simulated X-ray diffraction stick pattern of Na2TeO5 (a GGA-PBE-relaxed structure; copper Kα).

Cell and atoms:
Unit cell a=7.649 b=7.649 c=5.880 alpha=90.00 beta=90.00 gamma=127.99
Sites, in units of the cell vectors:
Na1 0.000 0.000 0.000
Na2 0.000 0.000 0.500
Na3 0.329 0.671 0.750
Na4 0.671 0.329 0.250
Te1 0.210 0.790 0.250
Te2 0.790 0.210 0.750
O1 0.056 0.337 0.558
O2 0.056 0.337 0.942
O3 0.145 0.855 0.750
O4 0.337 0.056 0.058
O5 0.337 0.056 0.442
O6 0.663 0.944 0.558
O7 0.663 0.944 0.942
O8 0.855 0.145 0.250
O9 0.944 0.663 0.058
O10 0.944 0.663 0.442

Main lines, in order of rising 2θ (2θ = 10–80°):
2θ 12.88, rel. 100; 2θ 14.69, rel. 55; 2θ 19.87, rel. 42; 2θ 21.11, rel. 78; 2θ 26.58, rel. 25; 2θ 28.04, rel. 39; 2θ 30.11, rel. 32; 2θ 33.14, rel. 30; 2θ 40.82, rel. 27; 2θ 42.97, rel. 36